The following is a calculated powder diffraction line list of NaSm9Si6S2O24. It was derived from a structure optimized by DFT (GGA-PBE), using Cu Kα.
No peak broadening, texture or thermal motion is included.

Cell and atoms:
Cell lengths 9.892, 9.892, 6.772 Å; angles 90.00, 90.00, 120.00 degrees
Fractional positions:
Na1 0.000 0.000 0.000
Sm1 0.000 0.000 0.515
Sm2 0.081 0.655 0.757
Sm3 0.098 0.412 0.254
Sm4 0.314 0.902 0.254
Sm5 0.345 0.426 0.757
Sm6 0.574 0.919 0.757
Sm7 0.588 0.686 0.254
Sm8 0.667 0.333 0.010
Sm9 0.667 0.333 0.503
Si1 0.303 0.253 0.257
Si2 0.365 0.077 0.754
Si3 0.712 0.635 0.754
Si4 0.747 0.050 0.257
Si5 0.923 0.288 0.754
Si6 0.950 0.697 0.257
S1 0.333 0.667 0.508
S2 0.333 0.667 0.999
O1 0.068 0.759 0.451
O2 0.072 0.749 0.071
O3 0.179 0.002 0.746
O4 0.206 0.062 0.266
O5 0.241 0.309 0.451
O6 0.251 0.323 0.071
O7 0.431 0.029 0.950
O8 0.437 0.030 0.562
O9 0.467 0.272 0.757
O10 0.492 0.322 0.256
O11 0.593 0.563 0.562
O12 0.597 0.569 0.950
O13 0.677 0.928 0.071
O14 0.678 0.170 0.256
O15 0.691 0.932 0.451
O16 0.728 0.195 0.757
O17 0.805 0.533 0.757
O18 0.824 0.821 0.746
O19 0.830 0.508 0.256
O20 0.856 0.794 0.266
O21 0.938 0.144 0.266
O22 0.970 0.407 0.562
O23 0.971 0.403 0.950
O24 0.998 0.176 0.746

Most intense lines, 2θ = 10–90°, sorted by position:
2theta, I_rel, h k l
20.74, 24, 2 0 0
22.26, 39, 1 1 1
27.55, 28, 1 2 0
28.34, 19, 0 1 2
30.60, 100, 3 -1 1
31.33, 37, 3 0 0
32.03, 62, 2 -1 2
45.42, 31, 4 -2 2
48.21, 23, 2 3 1
48.71, 23, 4 1 0
49.21, 28, 1 2 3
50.42, 25, 0 4 2